No. 1
Tl5Bi4Pb4: computed PXRD pattern (Cu Kα (weighted mean of Kα1 and Kα2)), based on a PBE-relaxed structure.
Lines closer than 0.1° are merged.

Structure:
```
data_Tl5Bi4Pb4
_chemical_formula_sum 'Tl10 Bi8 Pb8'
_space_group_name_H-M_alt 'I 4/m'
_space_group_IT_number 87
_space_group_name_Hall '-I 4'
_cell_length_a 12.555
_cell_length_b 12.555
_cell_length_c 5.242
_cell_angle_alpha 90.00
_cell_angle_beta 90.00
_cell_angle_gamma 90.00
loop_
_atom_site_label
_atom_site_type_symbol
_atom_site_fract_x
_atom_site_fract_y
_atom_site_fract_z
_atom_site_occupancy
Tl1 Tl 0.000 0.000 0.000 1
Tl2 Tl 0.045 0.810 0.500 1
Bi1 Bi 0.093 0.620 0.000 1
Pb1 Pb 0.143 0.238 0.000 1
```

Largest 10 diffraction maxima, low angle first, 2θ = 10–90°:
index	2θ (°)	I/Imax
2 3 1	30.83	100.0
0 0 2	34.21	19.7
5 1 0	36.49	30.7
5 1 2	50.88	24.3
4 6 0	52.57	10.2
2 3 3	59.16	16.3
7 4 1	62.19	23.8
4 6 2	64.23	11.3
7 4 3	83.08	11.0
5 1 4	83.58	6.1


No. 2
Tl5Bi4Pb2: computed PXRD pattern (Cu Kα (weighted mean of Kα1 and Kα2)), based on a PBE-relaxed structure.
Lines closer than 0.1° are merged.

Structure:
```
data_Tl5Bi4Pb2
_chemical_formula_sum 'Tl10 Bi8 Pb4'
_space_group_name_H-M_alt 'I m m m'
_space_group_IT_number 71
_space_group_name_Hall '-I 2 2'
_cell_length_a 5.410
_cell_length_b 9.136
_cell_length_c 18.418
_cell_angle_alpha 90.00
_cell_angle_beta 90.00
_cell_angle_gamma 90.00
loop_
_atom_site_label
_atom_site_type_symbol
_atom_site_fract_x
_atom_site_fract_y
_atom_site_fract_z
_atom_site_occupancy
Tl1 Tl 0.000 0.000 0.000 1
Tl2 Tl 0.000 0.179 0.319 1
Bi1 Bi 0.000 0.188 0.500 1
Bi2 Bi 0.000 0.500 0.236 1
Pb1 Pb 0.000 0.500 0.406 1
```

Largest 10 diffraction maxima, low angle first, 2θ = 10–90°:
index	2θ (°)	I/Imax
1 0 1	17.08	95.8
0 1 5	26.05	49.5
0 3 1	29.74	52.0
2 0 0	33.12	67.2
1 3 0	33.78	81.2
1 1 6	35.01	91.1
0 2 6	35.22	51.1
1 2 5	35.43	100.0
2 3 1	45.10	34.5
1 5 6	61.49	33.3